Record 1
Computed X-ray diffraction stick pattern of Ba4HgRh for Cu Ka, from a PBE-relaxed structure.
No peak broadening, texture or thermal motion is included.

Cell: 17.516 7.863 8.258 Å, 90.00 108.83 90.00°
Space group C2/c (No. 15)
Symmetry-distinct sites (fractional):
1 Ba 0.105 0.069 0.493 x8
2 Ba 0.163 0.446 0.149 x8
3 Hg 0.000 0.296 0.750 x4
4 Rh 0.250 0.250 0.500 x4

Largest 12 diffraction maxima, low angle first, 2θ = 10–80°:
d (Å)	I/Imax
4.929	868
4.457	640
3.454	578
3.417	949
3.240	1000
3.055	534
2.852	845
2.831	710
2.705	415
2.595	350
2.564	512
1.631	327

Record 2
Computed X-ray diffraction stick pattern of Ba5Hg5Rh2 for Cu Ka, from a PBE-relaxed structure.
No peak broadening, texture or thermal motion is included.

Cell: 17.990 4.630 13.215 Å, 90.00 132.03 90.00°
Space group C2/m (No. 12)
Symmetry-distinct sites (fractional):
1 Ba 0.000 0.000 0.000 x2
2 Ba 0.116 0.500 0.814 x4
3 Ba 0.199 0.500 0.580 x4
4 Hg 0.000 0.000 0.500 x2
5 Hg 0.067 0.000 0.315 x4
6 Hg 0.209 0.500 0.151 x4
7 Rh 0.118 0.500 0.257 x4

Largest 12 diffraction maxima, low angle first, 2θ = 10–80°:
d (Å)	I/Imax
3.604	274
3.210	1000
3.060	511
2.959	455
2.948	260
2.879	453
2.595	843
2.315	480
2.168	287
1.846	240
1.804	232
1.671	290

Record 3
Computed X-ray diffraction stick pattern of Ba2HgRh2 for Cu Ka, from a PBE-relaxed structure.
No peak broadening, texture or thermal motion is included.

Cell: 10.548 6.141 8.656 Å, 90.00 103.81 90.00°
Space group C2/c (No. 15)
Symmetry-distinct sites (fractional):
1 Ba 0.147 0.146 0.146 x8
2 Hg 0.000 0.379 0.750 x4
3 Rh 0.142 0.350 0.511 x8

Largest 12 diffraction maxima, low angle first, 2θ = 10–80°:
d (Å)	I/Imax
5.267	370
3.018	386
2.925	707
2.884	940
2.715	544
2.644	416
2.609	1000
2.464	401
2.429	808
2.040	315
1.525	308
1.487	255

Record 4
Computed X-ray diffraction stick pattern of BaHg2S3 for Cu Ka, from a PBE-relaxed structure.
No peak broadening, texture or thermal motion is included.

Cell: 6.551 11.712 4.478 Å, 90.00 90.00 90.00°
Space group Pmmn (No. 59, origin choice 2)
Symmetry-distinct sites (fractional):
1 Ba 0.250 0.250 0.153 x2
2 Hg 0.250 0.584 0.304 x4
3 S 0.250 0.066 0.663 x4
4 S 0.250 0.750 0.975 x2

Largest 12 diffraction maxima, low angle first, 2θ = 10–80°:
d (Å)	I/Imax
3.697	1000
3.557	207
3.354	830
3.275	852
2.943	954
2.189	831
1.963	251
1.952	188
1.862	230
1.726	263
1.677	232
1.431	216

Record 5
Computed X-ray diffraction stick pattern of Ba2HgSbS5 for Cu Ka, from a PBE-relaxed structure.
No peak broadening, texture or thermal motion is included.

Cell: 4.186 18.673 12.597 Å, 90.00 90.00 90.00°
Space group Cmc2_1 (No. 36)
Symmetry-distinct sites (fractional):
1 Ba 0.000 0.113 0.000 x4
2 Ba 0.000 0.126 0.612 x4
3 Hg 0.000 0.455 0.757 x4
4 Sb 0.000 0.218 0.320 x4
5 S 0.000 0.073 0.362 x4
6 S 0.000 0.280 0.958 x4
7 S 0.000 0.295 0.680 x4
8 S 0.000 0.354 0.309 x4
9 S 0.000 0.498 0.074 x4

Largest 12 diffraction maxima, low angle first, 2θ = 10–80°:
d (Å)	I/Imax
3.829	738
3.750	567
3.474	650
3.427	1000
3.349	661
3.021	998
2.928	980
2.548	404
2.093	444
2.040	384
1.868	423
1.721	374

Record 6
Computed X-ray diffraction stick pattern of Ba2HgSbS4 for Cu Ka, from a PBE-relaxed structure.
No peak broadening, texture or thermal motion is included.

Cell: 11.420 12.452 8.545 Å, 90.00 128.03 90.00°
Space group C2/c (No. 15)
Symmetry-distinct sites (fractional):
1 Ba 0.000 0.000 0.000 x4
2 Ba 0.250 0.250 0.000 x4
3 Hg 0.000 0.500 0.000 x4
4 Sb 0.250 0.250 0.500 x4
5 S 0.027 0.244 0.522 x8
6 S 0.232 0.484 0.528 x8

Largest 12 diffraction maxima, low angle first, 2θ = 10–80°:
d (Å)	I/Imax
3.646	968
3.490	892
3.365	1000
3.113	816
2.849	605
2.285	669
2.249	310
2.107	242
2.102	494
2.021	209
1.823	318
1.745	269